No. 1
Li4VCr3O8: computed powder diffraction line list (copper Kα), based on DFT lattice parameters and positions (GGA+U).

Cell and atoms:
```
data_Li4VCr3O8
_chemical_formula_sum 'Li8 V2 Cr6 O16'
_symmetry_space_group_name_H-M 'P 1 2/m 1'
_symmetry_Int_Tables_number 10
_cell_length_a 5.9567
_cell_length_b 5.9577
_cell_length_c 8.4070
_cell_angle_alpha 90.00
_cell_angle_beta 90.16
_cell_angle_gamma 90.00
loop_
_symmetry_equiv_pos_as_xyz
'x,y,z'
'-x,-y,-z'
'-x,y,-z'
'x,-y,z'
loop_
_atom_site_label
_atom_site_fract_x
_atom_site_fract_y
_atom_site_fract_z
Li1 0.0000 0.0000 0.0000
Li2 0.0000 0.5000 0.0000
Li3 0.2499 0.2474 0.2495
Li4 0.5000 0.0000 0.5000
Li5 0.5000 0.5000 0.5000
V1 0.0000 0.5000 0.5000
V2 0.5000 0.5000 0.0000
Cr1 0.0000 0.0000 0.5000
Cr2 0.2491 0.2498 0.7497
Cr3 0.5000 0.0000 0.0000
O1 0.0160 0.5000 0.7446
O2 0.0175 0.0000 0.7405
O3 0.2355 0.2478 0.5078
O4 0.2652 0.2468 0.9914
O5 0.4823 0.0000 0.7587
O6 0.4833 0.5000 0.7570
```

Most intense lines, 15° ≤ 2θ ≤ 90°, in order of falling intensity:
2θ/deg, I/Imax
18.2, 100
43.0, 84
62.4, 29
35.4, 27
62.5, 15
35.4, 13
47.0, 13
37.0, 11
56.8, 11
65.7, 9


No. 2
Fe5SnP6O24: computed powder diffraction line list (copper Kα), based on DFT lattice parameters and positions (GGA+U).

Cell and atoms:
```
data_Fe5SnP6O24
_chemical_formula_sum 'Fe15 Sn3 P18 O72'
_symmetry_space_group_name_H-M 'R 3'
_symmetry_Int_Tables_number 146
_symmetry_space_group_name_Hall 'R 3'
_cell_length_a 8.6876
_cell_length_b 8.6876
_cell_length_c 20.7628
_cell_angle_alpha 90.00
_cell_angle_beta 90.00
_cell_angle_gamma 120.00
loop_
_atom_site_label
_atom_site_fract_x
_atom_site_fract_y
_atom_site_fract_z
Fe1 0.0000 0.0000 0.0000
Fe2 0.0000 0.0000 0.1404
Fe3 0.0000 0.0000 0.3486
Fe4 0.0000 0.0000 0.4949
Fe5 0.0000 0.0000 0.6416
Sn1 0.0000 0.0000 0.8526
P1 0.0045 0.7081 0.2444
P2 0.0358 0.3665 0.4123
O1 0.0031 0.2067 0.8084
O2 0.0122 0.8289 0.9213
O3 0.0132 0.1764 0.4218
O4 0.0137 0.8096 0.3054
O5 0.1398 0.6746 0.8504
O6 0.1442 0.4653 0.3533
O7 0.1626 0.4852 0.7379
O8 0.1703 0.6822 0.2348
```

Most intense lines, 15° ≤ 2θ ≤ 90°, in order of falling intensity:
2θ/deg, I/Imax
20.4, 100
24.2, 83
33.1, 74
35.8, 44
47.4, 29
49.6, 29
56.0, 26
62.6, 23
20.8, 19
56.6, 15


No. 3
Ba2YTlV2O7: computed powder diffraction line list (copper Kα), based on DFT lattice parameters and positions (GGA+U).

Cell and atoms:
```
data_Ba2YTlV2O7
_chemical_formula_sum 'Ba2 Y1 Tl1 V2 O7'
_symmetry_space_group_name_H-M 'P 4/m m m'
_symmetry_Int_Tables_number 123
_symmetry_space_group_name_Hall '-P 4 2'
_cell_length_a 3.9684
_cell_length_b 3.9684
_cell_length_c 13.3934
_cell_angle_alpha 90.00
_cell_angle_beta 90.00
_cell_angle_gamma 90.00
loop_
_atom_site_label
_atom_site_fract_x
_atom_site_fract_y
_atom_site_fract_z
Ba1 0.0000 0.0000 0.1897
Y1 0.0000 0.0000 0.5000
Tl1 0.5000 0.5000 0.0000
V1 0.5000 0.5000 0.3584
O1 0.0000 0.0000 0.0000
O2 0.0000 0.5000 0.3961
O3 0.5000 0.5000 0.2165
```

Most intense lines, 15° ≤ 2θ ≤ 90°, in order of falling intensity:
2θ/deg, I/Imax
30.1, 100
31.9, 52
55.7, 35
45.7, 27
26.1, 22
52.4, 20
33.5, 14
46.9, 12
32.6, 12
42.0, 11


No. 4
MgTi2Pb4WO12: computed powder diffraction line list (copper Kα), based on DFT lattice parameters and positions (GGA+U).

Cell and atoms:
```
data_MgTi2Pb4WO12
_chemical_formula_sum 'Mg2 Ti4 Pb8 W2 O24'
_symmetry_space_group_name_H-M 'I 4/m m m'
_symmetry_Int_Tables_number 139
_symmetry_space_group_name_Hall '-I 4 2'
_cell_length_a 5.6712
_cell_length_b 5.6712
_cell_length_c 16.1351
_cell_angle_alpha 90.00
_cell_angle_beta 90.00
_cell_angle_gamma 90.00
loop_
_atom_site_label
_atom_site_fract_x
_atom_site_fract_y
_atom_site_fract_z
Mg1 0.0000 0.0000 0.0000
Ti1 0.0000 0.0000 0.2429
Pb1 0.0000 0.5000 0.1271
W1 0.0000 0.0000 0.5000
O1 0.0000 0.0000 0.1295
O2 0.0000 0.0000 0.3773
O3 0.2419 0.2419 0.5000
O4 0.2500 0.2500 0.2500
```

Most intense lines, 15° ≤ 2θ ≤ 90°, in order of falling intensity:
2θ/deg, I/Imax
31.5, 100
56.1, 27
45.2, 19
38.8, 18
55.9, 13
22.2, 13
65.7, 12
44.9, 10
50.9, 7
22.0, 7


No. 5
Rb4MgCo2O6: computed powder diffraction line list (copper Kα), based on DFT lattice parameters and positions (GGA+U).

Cell and atoms:
```
data_Rb4MgCo2O6
_chemical_formula_sum 'Rb4 Mg1 Co2 O6'
_symmetry_space_group_name_H-M 'P 1'
_symmetry_Int_Tables_number 1
_cell_length_a 6.1929
_cell_length_b 6.2994
_cell_length_c 7.2275
_cell_angle_alpha 83.61
_cell_angle_beta 74.96
_cell_angle_gamma 66.72
loop_
_symmetry_equiv_pos_as_xyz
'x,y,z'
loop_
_atom_site_label
_atom_site_fract_x
_atom_site_fract_y
_atom_site_fract_z
Rb1 0.0000 0.0000 0.0000
Rb2 0.1182 0.6946 0.4740
Rb3 0.3840 0.2599 0.0568
Rb4 0.6931 0.6163 0.2977
Mg1 0.2039 0.1700 0.5508
Co1 0.5867 0.7087 0.7896
Co2 0.7342 0.1902 0.5781
O1 0.0207 0.1573 0.3656
O2 0.3642 0.8540 0.6464
O3 0.4482 0.6676 0.0332
O4 0.4798 0.2757 0.4645
O5 0.7332 0.9564 0.7576
O6 0.8531 0.3971 0.6947
```

Most intense lines, 15° ≤ 2θ ≤ 90°, in order of falling intensity:
2θ/deg, I/Imax
30.8, 100
30.0, 92
27.5, 80
33.4, 39
28.9, 34
29.9, 32
20.0, 30
31.9, 28
34.3, 27
36.4, 26


No. 6
Li4Mn3Sn2O10: computed powder diffraction line list (copper Kα), based on DFT lattice parameters and positions (GGA+U).

Cell and atoms:
```
data_Li4Mn3Sn2O10
_chemical_formula_sum 'Li8 Mn6 Sn4 O20'
_symmetry_space_group_name_H-M 'P -1'
_symmetry_Int_Tables_number 2
_cell_length_a 6.6437
_cell_length_b 8.2523
_cell_length_c 8.3539
_cell_angle_alpha 84.75
_cell_angle_beta 88.27
_cell_angle_gamma 66.71
loop_
_symmetry_equiv_pos_as_xyz
'x,y,z'
'-x,-y,-z'
loop_
_atom_site_label
_atom_site_fract_x
_atom_site_fract_y
_atom_site_fract_z
Li1 0.1016 0.2184 0.1899
Li2 0.1919 0.3964 0.8961
Li3 0.2566 0.5199 0.2608
Li4 0.3070 0.6125 0.5882
Mn1 0.0000 0.0000 0.5000
Mn2 0.0339 0.1026 0.8409
Mn3 0.4581 0.8958 0.6556
Mn4 0.5000 0.0000 0.0000
Sn1 0.1584 0.3061 0.5469
Sn2 0.3538 0.6954 0.9591
O1 0.0355 0.5390 0.6596
O2 0.0673 0.6757 0.0404
O3 0.1026 0.7621 0.3906
O4 0.1864 0.8559 0.7398
O5 0.2194 0.9419 0.0650
O6 0.2761 0.0709 0.4253
O7 0.3067 0.1333 0.7600
O8 0.3872 0.2321 0.1067
O9 0.4261 0.3328 0.4406
O10 0.4631 0.4664 0.8440
```

Most intense lines, 15° ≤ 2θ ≤ 90°, in order of falling intensity:
2θ/deg, I/Imax
17.6, 100
18.0, 43
40.4, 42
40.2, 41
43.2, 34
21.4, 32
35.5, 26
33.4, 24
25.0, 22
60.3, 22


Question: What is the formula in the third record?
Answer: Ba2YTlV2O7